Structure and theoretical X-ray powder pattern of Ac2AgSn4 (a crystal structure in Alexandria, relaxed with PBE; CuKα).
Intensities are scaled so that the largest is 100.

Largest 12 diffraction maxima, by angle, 10° ≤ 2θ ≤ 90°:
| two_theta | intensity |
| --- | --- |
| 10.6 | 21 |
| 23.1 | 29 |
| 23.7 | 69 |
| 26.0 | 35 |
| 31.6 | 32 |
| 32.0 | 98 |
| 32.2 | 34 |
| 33.7 | 100 |
| 46.9 | 22 |
| 47.3 | 47 |
| 48.4 | 37 |
| 59.3 | 60 |

Atomic structure:
```
7
Lattice="-2.660 2.660 8.348 2.660 -2.660 8.348 2.660 2.660 -8.348" Properties=species:S:1:pos:R:3 pbc="T T T"
Ac 0.000 0.000 2.298
Ac 0.000 0.000 14.398
Ag 0.000 0.000 8.348
Sn 2.660 0.000 0.000
Sn 0.000 0.000 5.605
Sn 0.000 2.660 0.000
Sn 0.000 0.000 11.091
```

Structure and theoretical X-ray powder pattern of Sr2YCu2BiPbO8 (a crystal structure in Alexandria, relaxed with PBE; CuKα).
Intensities are scaled so that the largest is 100.

Largest 12 diffraction maxima, by angle, 10° ≤ 2θ ≤ 90°:
| two_theta | intensity |
| --- | --- |
| 25.1 | 28 |
| 27.7 | 64 |
| 31.2 | 100 |
| 33.5 | 84 |
| 34.9 | 22 |
| 44.9 | 32 |
| 48.1 | 40 |
| 49.2 | 22 |
| 56.4 | 20 |
| 58.5 | 35 |
| 70.4 | 18 |
| 80.3 | 20 |

Atomic structure:
```
15
Lattice="-1.890 1.890 15.436 1.890 -1.890 15.436 1.890 1.890 -15.436" Properties=species:S:1:pos:R:3 pbc="T T T"
Sr 0.000 0.000 0.000
Sr 0.000 0.000 7.188
Y 0.000 0.000 3.637
Cu 0.000 0.000 17.355
Cu 0.000 0.000 20.755
Bi 0.000 0.000 25.393
Pb 0.000 0.000 12.831
O 1.890 0.000 2.225
O 1.890 0.000 5.177
O 0.000 0.000 9.782
O 0.000 0.000 15.076
O 0.000 1.890 2.225
O 0.000 1.890 5.177
O 0.000 0.000 23.262
O 0.000 0.000 28.315
```

Structure and theoretical X-ray powder pattern of ReIr4 (a crystal structure in Alexandria, relaxed with PBE; CuKα).
Intensities are scaled so that the largest is 100.

Largest 7 diffraction maxima, by angle, 10° ≤ 2θ ≤ 90°:
| two_theta | intensity |
| --- | --- |
| 40.3 | 100 |
| 46.8 | 33 |
| 46.9 | 16 |
| 68.4 | 32 |
| 82.4 | 26 |
| 82.6 | 13 |
| 87.0 | 12 |

Atomic structure:
```
5
Lattice="-3.068 3.068 1.936 3.068 -3.068 1.936 3.068 3.068 -1.936" Properties=species:S:1:pos:R:3 pbc="T T T"
Re 0.000 0.000 0.000
Ir 2.427 1.255 0.000
Ir 1.813 -0.641 1.936
Ir 1.255 3.709 0.000
Ir 0.641 1.813 1.936
```

Structure and theoretical X-ray powder pattern of SiNi5H (a crystal structure in Alexandria, relaxed with PBE; CuKα).
Intensities are scaled so that the largest is 100.

Largest 12 diffraction maxima, by angle, 10° ≤ 2θ ≤ 90°:
| two_theta | intensity |
| --- | --- |
| 29.9 | 5 |
| 30.9 | 14 |
| 36.5 | 33 |
| 39.8 | 53 |
| 47.1 | 24 |
| 48.5 | 100 |
| 52.5 | 51 |
| 61.0 | 6 |
| 62.2 | 7 |
| 73.2 | 24 |
| 77.4 | 15 |
| 87.7 | 6 |

Atomic structure:
```
7
Lattice="3.486 0.000 0.000 0.000 3.486 0.000 0.000 0.000 5.787" Properties=species:S:1:pos:R:3 pbc="T T T"
Si 0.000 0.000 0.000
Ni 0.000 1.743 1.717
Ni 0.000 1.743 4.070
Ni 1.743 0.000 1.717
Ni 1.743 0.000 4.070
Ni 1.743 1.743 0.000
H 1.743 1.743 2.894
```

Structure and theoretical X-ray powder pattern of Tl3C5 (a crystal structure in Alexandria, relaxed with PBE; CuKα).
Intensities are scaled so that the largest is 100.

Largest 12 diffraction maxima, by angle, 10° ≤ 2θ ≤ 90°:
| two_theta | intensity |
| --- | --- |
| 15.4 | 44 |
| 17.2 | 74 |
| 23.3 | 22 |
| 25.9 | 55 |
| 28.9 | 56 |
| 29.1 | 31 |
| 31.1 | 19 |
| 37.2 | 100 |
| 38.0 | 31 |
| 46.4 | 20 |
| 49.1 | 19 |
| 56.2 | 19 |

Atomic structure:
```
16
Lattice="10.325 0.000 0.000 0.000 2.667 0.000 -5.058 0.000 10.326" Properties=species:S:1:pos:R:3 pbc="T T T"
Tl 0.000 0.000 0.000
Tl -3.447 1.333 7.227
Tl 0.954 1.333 4.394
Tl -0.054 0.000 7.528
Tl 1.837 1.333 10.313
Tl 5.637 0.000 3.647
C -2.236 1.333 9.416
C -1.923 0.000 9.939
C 2.425 1.333 2.529
C 2.863 0.000 2.092
C 3.975 0.000 0.977
C 4.770 1.333 1.037
C 3.378 0.667 6.335
C 3.378 1.999 6.335
C 8.564 0.666 2.920
C 8.564 2.000 2.920
```

Structure and theoretical X-ray powder pattern of KNb4Se8 (a crystal structure in Alexandria, relaxed with PBE; CuKα).
Intensities are scaled so that the largest is 100.

Largest 12 diffraction maxima, by angle, 10° ≤ 2θ ≤ 90°:
| two_theta | intensity |
| --- | --- |
| 13.0 | 47 |
| 14.2 | 57 |
| 30.1 | 47 |
| 30.6 | 50 |
| 32.2 | 91 |
| 33.3 | 100 |
| 37.9 | 41 |
| 38.7 | 26 |
| 39.5 | 66 |
| 39.8 | 49 |
| 50.1 | 71 |
| 52.0 | 38 |

Atomic structure:
```
13
Lattice="8.911 -1.759 0.000 8.911 1.759 0.000 -8.125 0.000 9.561" Properties=species:S:1:pos:R:3 pbc="T T T"
K 0.000 0.000 0.000
Nb -1.051 0.000 4.557
Nb 4.616 0.000 1.344
Nb 5.082 0.000 8.217
Nb 10.748 0.000 5.004
Se -5.357 0.000 7.078
Se -1.988 0.000 8.795
Se 0.585 0.000 6.546
Se 3.327 0.000 3.829
Se 6.371 0.000 5.732
Se 9.112 0.000 3.015
Se 11.685 0.000 0.766
Se 15.055 0.000 2.483
```

Structure and theoretical X-ray powder pattern of AlCdMo (a crystal structure in Alexandria, relaxed with PBE; CuKα).
Intensities are scaled so that the largest is 100.

Largest 12 diffraction maxima, by angle, 10° ≤ 2θ ≤ 90°:
| two_theta | intensity |
| --- | --- |
| 22.4 | 22 |
| 31.9 | 1 |
| 39.3 | 100 |
| 45.7 | 3 |
| 51.5 | 1 |
| 56.9 | 18 |
| 61.9 | 3 |
| 66.8 | 3 |
| 71.3 | 27 |
| 80.3 | 11 |
| 84.6 | 6 |
| 88.9 | 1 |

Atomic structure:
```
3
Lattice="4.582 0.000 0.000 -2.291 3.968 0.000 0.000 0.000 2.803" Properties=species:S:1:pos:R:3 pbc="T T T"
Al 0.000 0.000 0.000
Cd 2.291 1.323 0.000
Mo 0.000 2.645 1.401
```

Structure and theoretical X-ray powder pattern of CaB (a crystal structure in Alexandria, relaxed with PBE; CuKα).
Intensities are scaled so that the largest is 100.

Largest 12 diffraction maxima, by angle, 10° ≤ 2θ ≤ 90°:
| two_theta | intensity |
| --- | --- |
| 12.8 | 46 |
| 24.7 | 50 |
| 24.9 | 37 |
| 25.8 | 100 |
| 30.5 | 71 |
| 30.6 | 79 |
| 30.9 | 86 |
| 31.2 | 93 |
| 36.4 | 60 |
| 39.8 | 38 |
| 40.3 | 35 |
| 40.9 | 32 |

Atomic structure:
```
4
Lattice="3.204 0.000 0.000 -1.577 3.716 0.000 -0.960 -1.740 6.916" Properties=species:S:1:pos:R:3 pbc="T T T"
Ca 0.228 0.002 1.748
Ca 0.438 1.975 5.168
B -0.948 0.260 6.913
B 1.614 1.716 0.003
```

Structure and theoretical X-ray powder pattern of Np4TaN6 (a crystal structure in Alexandria, relaxed with PBE; CuKα).
Intensities are scaled so that the largest is 100.

Largest 12 diffraction maxima, by angle, 10° ≤ 2θ ≤ 90°:
| two_theta | intensity |
| --- | --- |
| 30.3 | 70 |
| 32.3 | 100 |
| 33.7 | 8 |
| 38.7 | 16 |
| 43.2 | 17 |
| 44.9 | 29 |
| 56.4 | 22 |
| 57.7 | 18 |
| 58.5 | 13 |
| 59.6 | 17 |
| 67.7 | 14 |
| 89.7 | 8 |

Atomic structure:
```
22
Lattice="4.796 2.769 3.749 -4.796 2.769 3.749 0.000 -5.538 3.749" Properties=species:S:1:pos:R:3 pbc="T T T"
Np -3.100 0.169 4.686
Np 0.000 0.000 2.811
Np -1.696 -2.600 6.560
Np 1.404 -2.769 4.686
Np -1.404 2.769 6.560
Np 1.696 2.600 4.686
Np 0.000 0.000 8.434
Np 3.100 -0.169 6.560
Ta 0.000 0.000 0.000
Ta 0.000 0.000 5.623
N -4.126 -1.163 6.246
N -1.056 -4.155 5.000
N -1.056 -1.383 4.371
N -3.070 2.992 5.000
N -0.670 1.606 4.371
N -1.726 0.223 6.875
N 1.726 -0.223 4.371
N 0.670 -1.606 6.875
N 3.070 -2.992 6.246
N 1.056 1.383 6.875
N 1.056 4.155 6.246
N 4.126 1.163 5.000
```